Diffraction record for Ba3SrH7. The powder diffractogram is calculated, not measured: it uses the PBE geometry in Alexandria and Cu Kα.

The 12 most intense peaks (10° ≤ 2θ ≤ 90°), by intensity:
24.88°, I 100, hkl 0 2 2; 25.00°, I 97, hkl 2 2 0; 28.97°, I 65, hkl 2 0 2; 41.24°, I 63, hkl 0 0 4; 28.70°, I 31, hkl 0 4 0; 48.86°, I 31, hkl 2 2 4; 49.07°, I 28, hkl 4 2 2; 48.62°, I 27, hkl 0 6 2; 65.81°, I 17, hkl 0 2 6; 67.84°, I 16, hkl 2 0 6; 51.04°, I 13, hkl 0 4 4; 41.58°, I 12, hkl 4 0 0

Cell and atoms:
a b c (Å): 8.6875 12.4408 8.7504
angles (deg): 90.00 90.00 90.00
Space group C222_1 (No. 20)
Unique sites:
Ba 0.0003 0.0000 0.0000
Ba 0.2338 0.2645 0.2507
Sr 0.0006 0.5000 0.0000
H 0.0000 0.1290 0.2500
H 0.0000 0.1300 0.7500
H 0.0000 0.4098 0.2500
H 0.2213 0.3776 0.5228
H 0.2226 0.3776 0.9789